This entry pairs a crystal structure of Ti3NbAl2C2 with its simulated PXRD pattern. Radiation: Cu Kα (λ = 1.5418 Å). Structure: a cell relaxed with PBE.
Peak positions follow from Bragg's law for the DFT cell and can differ from measured ones.

Most intense lines, 2θ from 10° to 90°, sorted by position:
hkl 0 0 2, 12.77 deg, 6.931 Å, I 36.7; hkl 1 0 0, 33.74 deg, 2.657 Å, I 20.5; hkl 1 0 1, 34.37 deg, 2.609 Å, I 12.0; hkl 0 0 6, 38.99 deg, 2.310 Å, I 19.0; hkl 0 1 3, 39.11 deg, 2.303 Å, I 100.0; hkl 0 1 4, 42.89 deg, 2.108 Å, I 6.3; hkl 1 0 6, 52.49 deg, 1.743 Å, I 18.0; hkl 1 1 0, 60.34 deg, 1.534 Å, I 19.2; hkl 0 1 9, 70.70 deg, 1.332 Å, I 15.3; hkl 1 1 6, 74.25 deg, 1.277 Å, I 29.3

```
data_Ti3NbAl2C2
_symmetry_space_group_name_H-M 'P 3 m 1'
_symmetry_Int_Tables_number 156
_cell_length_a 3.0679
_cell_length_b 3.0679
_cell_length_c 13.8613
_cell_angle_alpha 90.00
_cell_angle_beta 90.00
_cell_angle_gamma 120.00
loop_
_symmetry_equiv_pos_as_xyz
'x,y,z'
'-y,x-y,z'
'-x+y,-x,z'
'-y,-x,z'
'-x+y,y,z'
'x,x-y,z'
loop_
_atom_site_label
_atom_site_type_symbol
_atom_site_fract_x
_atom_site_fract_y
_atom_site_fract_z
_atom_site_occupancy
Ti1 Ti 0.0000 0.0000 0.0000 1
Ti2 Ti 0.0000 0.0000 0.3302 1
Ti3 Ti 0.3333 0.6667 0.4968 1
Nb1 Nb 0.3333 0.6667 0.8249 1
Al1 Al 0.0000 0.0000 0.6606 1
Al2 Al 0.3333 0.6667 0.1653 1
C1 C 0.6667 0.3333 0.4134 1
C2 C 0.6667 0.3333 0.9186 1
```